No. 1
This entry pairs a crystal structure of V7S8 with its computed powder XRD pattern. Radiation: Cu Kα, 1.54184 Å. Structure: a DFT-relaxed cell (GGA-PBE, the Materials Project).

The 6 most intense peaks (10° ≤ 2θ ≤ 90°), in order of rising 2θ:
2θ 32.4, I = 27; 2θ 35.7, I = 46; 2θ 44.5, I = 100; 2θ 56.6, I = 10; 2θ 57.7, I = 34; 2θ 89.4, I = 20

Crystal structure
```
data_V7S8
_cell_length_a 6.3909
_cell_length_b 6.3909
_cell_length_c 8.1786
_cell_angle_alpha 125.86
_cell_angle_beta 125.86
_cell_angle_gamma 59.99
_symmetry_space_group_name_H-M 'P 1'
_symmetry_Int_Tables_number 1
loop_
_symmetry_equiv_pos_as_xyz
'x,y,z'
loop_
_atom_site_label
_atom_site_type_symbol
_atom_site_fract_x
_atom_site_fract_y
_atom_site_fract_z
_atom_site_occupancy
V1 V 0.0000 0.0000 0.0000 1
V2 V 0.0000 0.5000 0.0000 1
V3 V 0.2491 0.7509 0.5000 1
V4 V 0.2526 0.2526 0.5055 1
V5 V 0.5000 0.0000 0.0000 1
V6 V 0.7474 0.7474 0.4945 1
V7 V 0.7509 0.2491 0.5000 1
S1 S 0.0404 0.0404 0.7475 1
S2 S 0.0481 0.5409 0.7536 1
S3 S 0.4584 0.4584 0.2447 1
S4 S 0.4591 0.9519 0.2464 1
S5 S 0.5409 0.0481 0.7536 1
S6 S 0.5416 0.5416 0.7553 1
S7 S 0.9519 0.4591 0.2464 1
S8 S 0.9596 0.9596 0.2525 1
```

=====

No. 2
This entry pairs a crystal structure of PaBi3 with its computed powder XRD pattern. Radiation: Cu Kα, 1.54184 Å. Structure: a DFT-relaxed cell (GGA-PBE, the Materials Project).

The 6 most intense peaks (10° ≤ 2θ ≤ 90°), in order of rising 2θ:
2θ 29.4, I = 33; 2θ 30.9, I = 22; 2θ 34.4, I = 100; 2θ 43.2, I = 18; 2θ 55.3, I = 26; 2θ 63.6, I = 23

Crystal structure
```
data_PaBi3
_cell_length_a 6.6734
_cell_length_b 6.6734
_cell_length_c 6.0860
_cell_angle_alpha 90.00
_cell_angle_beta 90.00
_cell_angle_gamma 120.00
_symmetry_space_group_name_H-M 'P 1'
_symmetry_Int_Tables_number 1
loop_
_symmetry_equiv_pos_as_xyz
'x,y,z'
loop_
_atom_site_label
_atom_site_type_symbol
_atom_site_fract_x
_atom_site_fract_y
_atom_site_fract_z
_atom_site_occupancy
Pa1 Pa 0.3333 0.6667 0.2500 1
Pa2 Pa 0.6667 0.3333 0.7500 1
Bi1 Bi 0.1719 0.3438 0.7500 1
Bi2 Bi 0.1719 0.8281 0.7500 1
Bi3 Bi 0.3438 0.1719 0.2500 1
Bi4 Bi 0.6562 0.8281 0.7500 1
Bi5 Bi 0.8281 0.1719 0.2500 1
Bi6 Bi 0.8281 0.6562 0.2500 1
```

=====

No. 3
This entry pairs a crystal structure of ErTl with its computed powder XRD pattern. Radiation: Cu Kα, 1.54184 Å. Structure: a DFT-relaxed cell (GGA-PBE, the Materials Project).

The 6 most intense peaks (10° ≤ 2θ ≤ 90°), in order of rising 2θ:
2θ 32.9, I = 100; 2θ 36.0, I = 39; 2θ 42.1, I = 13; 2θ 51.8, I = 14; 2θ 56.6, I = 22; 2θ 62.8, I = 32

Crystal structure
```
data_ErTl
_cell_length_a 3.5270
_cell_length_b 3.5270
_cell_length_c 4.2950
_cell_angle_alpha 90.00
_cell_angle_beta 90.00
_cell_angle_gamma 90.00
_symmetry_space_group_name_H-M 'P 1'
_symmetry_Int_Tables_number 1
loop_
_symmetry_equiv_pos_as_xyz
'x,y,z'
loop_
_atom_site_label
_atom_site_type_symbol
_atom_site_fract_x
_atom_site_fract_y
_atom_site_fract_z
_atom_site_occupancy
Er1 Er 0.0000 0.0000 0.0000 1
Tl1 Tl 0.5000 0.5000 0.5000 1
```

=====

No. 4
This entry pairs a crystal structure of ReW3 with its computed powder XRD pattern. Radiation: Cu Kα, 1.54184 Å. Structure: a DFT-relaxed cell (GGA-PBE, the Materials Project).

The 6 most intense peaks (10° ≤ 2θ ≤ 90°), in order of rising 2θ:
2θ 40.2, I = 50; 2θ 40.3, I = 100; 2θ 58.1, I = 17; 2θ 73.1, I = 35; 2θ 73.3, I = 18; 2θ 87.0, I = 12

Crystal structure
```
data_ReW3
_cell_length_a 2.7449
_cell_length_b 2.7449
_cell_length_c 8.9797
_cell_angle_alpha 90.00
_cell_angle_beta 90.00
_cell_angle_gamma 109.78
_symmetry_space_group_name_H-M 'P 1'
_symmetry_Int_Tables_number 1
loop_
_symmetry_equiv_pos_as_xyz
'x,y,z'
loop_
_atom_site_label
_atom_site_type_symbol
_atom_site_fract_x
_atom_site_fract_y
_atom_site_fract_z
_atom_site_occupancy
Re1 Re 0.0000 0.0000 0.0000 1
W1 W 0.0000 0.0000 0.5000 1
W2 W 0.5000 0.5000 0.2493 1
W3 W 0.5000 0.5000 0.7507 1
```

=====

No. 5
This entry pairs a crystal structure of Lu2NiRu with its computed powder XRD pattern. Radiation: Cu Kα, 1.54184 Å. Structure: a DFT-relaxed cell (GGA-PBE, the Materials Project).

The 6 most intense peaks (10° ≤ 2θ ≤ 90°), in order of rising 2θ:
2θ 26.9, I = 15; 2θ 38.4, I = 100; 2θ 55.5, I = 17; 2θ 62.7, I = 6; 2θ 69.5, I = 35; 2θ 82.3, I = 11

Crystal structure
```
data_Lu2NiRu
_cell_length_a 4.6852
_cell_length_b 4.6852
_cell_length_c 4.6852
_cell_angle_alpha 60.00
_cell_angle_beta 60.00
_cell_angle_gamma 60.00
_symmetry_space_group_name_H-M 'P 1'
_symmetry_Int_Tables_number 1
loop_
_symmetry_equiv_pos_as_xyz
'x,y,z'
loop_
_atom_site_label
_atom_site_type_symbol
_atom_site_fract_x
_atom_site_fract_y
_atom_site_fract_z
_atom_site_occupancy
Lu1 Lu 0.2500 0.2500 0.2500 1
Lu2 Lu 0.7500 0.7500 0.7500 1
Ni1 Ni 0.0000 0.0000 0.0000 1
Ru1 Ru 0.5000 0.5000 0.5000 1
```

=====

No. 6
This entry pairs a crystal structure of In3GaN4 with its computed powder XRD pattern. Radiation: Cu Kα, 1.54184 Å. Structure: a DFT-relaxed cell (GGA-PBE, the Materials Project).

The 6 most intense peaks (10° ≤ 2θ ≤ 90°), in order of rising 2θ:
2θ 29.6, I = 36; 2θ 31.6, I = 32; 2θ 33.6, I = 100; 2θ 52.5, I = 26; 2θ 57.5, I = 28; 2θ 62.6, I = 25

Crystal structure
```
data_In3GaN4
_cell_length_a 6.9715
_cell_length_b 6.9715
_cell_length_c 5.6681
_cell_angle_alpha 90.00
_cell_angle_beta 90.00
_cell_angle_gamma 120.00
_symmetry_space_group_name_H-M 'P 1'
_symmetry_Int_Tables_number 1
loop_
_symmetry_equiv_pos_as_xyz
'x,y,z'
loop_
_atom_site_label
_atom_site_type_symbol
_atom_site_fract_x
_atom_site_fract_y
_atom_site_fract_z
_atom_site_occupancy
In1 In 0.1696 0.3392 0.0000 1
In2 In 0.1696 0.8304 0.0000 1
In3 In 0.3392 0.1696 0.5000 1
In4 In 0.6608 0.8304 0.0000 1
In5 In 0.8304 0.1696 0.5000 1
In6 In 0.8304 0.6608 0.5000 1
Ga1 Ga 0.3333 0.6667 0.5003 1
Ga2 Ga 0.6667 0.3333 0.0003 1
N1 N 0.1770 0.3539 0.3867 1
N2 N 0.1770 0.8230 0.3867 1
N3 N 0.3333 0.6667 0.8470 1
N4 N 0.3539 0.1770 0.8867 1
N5 N 0.6461 0.8230 0.3867 1
N6 N 0.6667 0.3333 0.3470 1
N7 N 0.8230 0.1770 0.8867 1
N8 N 0.8230 0.6461 0.8867 1
```

=====

No. 7
This entry pairs a crystal structure of LuInNi with its computed powder XRD pattern. Radiation: Cu Kα, 1.54184 Å. Structure: a DFT-relaxed cell (GGA-PBE, the Materials Project).

The 6 most intense peaks (10° ≤ 2θ ≤ 90°), in order of rising 2θ:
2θ 34.4, I = 100; 2θ 37.1, I = 52; 2θ 37.2, I = 70; 2θ 42.3, I = 24; 2θ 57.5, I = 27; 2θ 68.7, I = 24

Crystal structure
```
data_LuInNi
_cell_length_a 7.4098
_cell_length_b 7.4098
_cell_length_c 3.6760
_cell_angle_alpha 90.00
_cell_angle_beta 90.00
_cell_angle_gamma 120.00
_symmetry_space_group_name_H-M 'P 1'
_symmetry_Int_Tables_number 1
loop_
_symmetry_equiv_pos_as_xyz
'x,y,z'
loop_
_atom_site_label
_atom_site_type_symbol
_atom_site_fract_x
_atom_site_fract_y
_atom_site_fract_z
_atom_site_occupancy
Lu1 Lu 0.0000 0.5900 0.0000 1
Lu2 Lu 0.4100 0.4100 0.0000 1
Lu3 Lu 0.5900 0.0000 0.0000 1
In1 In 0.0000 0.2572 0.5000 1
In2 In 0.2572 0.0000 0.5000 1
In3 In 0.7428 0.7428 0.5000 1
Ni1 Ni 0.0000 0.0000 0.0000 1
Ni2 Ni 0.3333 0.6667 0.5000 1
Ni3 Ni 0.6667 0.3333 0.5000 1
```

=====

No. 8
This entry pairs a crystal structure of CeGeAu with its computed powder XRD pattern. Radiation: Cu Kα, 1.54184 Å. Structure: a DFT-relaxed cell (GGA-PBE, the Materials Project).

The 6 most intense peaks (10° ≤ 2θ ≤ 90°), in order of rising 2θ:
2θ 23.0, I = 60; 2θ 37.9, I = 100; 2θ 44.8, I = 32; 2θ 54.7, I = 17; 2θ 60.1, I = 14; 2θ 68.5, I = 35

Crystal structure
```
data_CeGeAu
_cell_length_a 4.7444
_cell_length_b 4.7444
_cell_length_c 4.7444
_cell_angle_alpha 60.00
_cell_angle_beta 60.00
_cell_angle_gamma 60.00
_symmetry_space_group_name_H-M 'P 1'
_symmetry_Int_Tables_number 1
loop_
_symmetry_equiv_pos_as_xyz
'x,y,z'
loop_
_atom_site_label
_atom_site_type_symbol
_atom_site_fract_x
_atom_site_fract_y
_atom_site_fract_z
_atom_site_occupancy
Ce1 Ce 0.0000 0.0000 0.0000 1
Ge1 Ge 0.5000 0.5000 0.5000 1
Au1 Au 0.7500 0.7500 0.7500 1
```

=====

No. 9
This entry pairs a crystal structure of U4BiO10 with its computed powder XRD pattern. Radiation: Cu Kα, 1.54184 Å. Structure: a DFT-relaxed cell (GGA-PBE, the Materials Project).

The 6 most intense peaks (10° ≤ 2θ ≤ 90°), in order of rising 2θ:
2θ 28.4, I = 100; 2θ 32.9, I = 37; 2θ 47.2, I = 49; 2θ 56.0, I = 47; 2θ 76.2, I = 20; 2θ 87.9, I = 18

Crystal structure
```
data_U4BiO10
_cell_length_a 6.6668
_cell_length_b 6.6668
_cell_length_c 6.6668
_cell_angle_alpha 99.59
_cell_angle_beta 99.59
_cell_angle_gamma 131.82
_symmetry_space_group_name_H-M 'P 1'
_symmetry_Int_Tables_number 1
loop_
_symmetry_equiv_pos_as_xyz
'x,y,z'
loop_
_atom_site_label
_atom_site_type_symbol
_atom_site_fract_x
_atom_site_fract_y
_atom_site_fract_z
_atom_site_occupancy
U1 U 0.1006 0.3009 0.4015 1
U2 U 0.3009 0.8994 0.2003 1
U3 U 0.6991 0.1006 0.7997 1
U4 U 0.8994 0.6991 0.5985 1
Bi1 Bi 0.5000 0.5000 0.0000 1
O1 O 0.0356 0.1417 0.6910 1
O2 O 0.1417 0.4507 0.1060 1
O3 O 0.2500 0.7500 0.5000 1
O4 O 0.3446 0.0356 0.8940 1
O5 O 0.4507 0.3446 0.3090 1
O6 O 0.5493 0.6554 0.6910 1
O7 O 0.6554 0.9644 0.1060 1
O8 O 0.7500 0.2500 0.5000 1
O9 O 0.8583 0.5493 0.8940 1
O10 O 0.9644 0.8583 0.3090 1
```

=====

No. 10
This entry pairs a crystal structure of Au with its computed powder XRD pattern. Radiation: Cu Kα, 1.54184 Å. Structure: a DFT-relaxed cell (GGA-PBE, the Materials Project).

The 5 most intense peaks (10° ≤ 2θ ≤ 90°), in order of rising 2θ:
2θ 37.3, I = 100; 2θ 43.4, I = 50; 2θ 63.0, I = 33; 2θ 75.6, I = 40; 2θ 79.6, I = 12

Crystal structure
```
data_Au
_cell_length_a 2.9495
_cell_length_b 2.9495
_cell_length_c 2.9495
_cell_angle_alpha 60.00
_cell_angle_beta 60.00
_cell_angle_gamma 60.00
_symmetry_space_group_name_H-M 'P 1'
_symmetry_Int_Tables_number 1
loop_
_symmetry_equiv_pos_as_xyz
'x,y,z'
loop_
_atom_site_label
_atom_site_type_symbol
_atom_site_fract_x
_atom_site_fract_y
_atom_site_fract_z
_atom_site_occupancy
Au1 Au 0.0000 0.0000 0.0000 1
```

=====

No. 11
This entry pairs a crystal structure of CeSi3Os with its computed powder XRD pattern. Radiation: Cu Kα, 1.54184 Å. Structure: a DFT-relaxed cell (GGA-PBE, the Materials Project).

The 6 most intense peaks (10° ≤ 2θ ≤ 90°), in order of rising 2θ:
2θ 22.9, I = 55; 2θ 30.0, I = 61; 2θ 34.3, I = 100; 2θ 35.1, I = 41; 2θ 42.9, I = 44; 2θ 56.1, I = 50

Crystal structure
```
data_CeSi3Os
_cell_length_a 5.8190
_cell_length_b 5.8190
_cell_length_c 5.8190
_cell_angle_alpha 137.55
_cell_angle_beta 137.55
_cell_angle_gamma 61.59
_symmetry_space_group_name_H-M 'P 1'
_symmetry_Int_Tables_number 1
loop_
_symmetry_equiv_pos_as_xyz
'x,y,z'
loop_
_atom_site_label
_atom_site_type_symbol
_atom_site_fract_x
_atom_site_fract_y
_atom_site_fract_z
_atom_site_occupancy
Ce1 Ce 0.0000 0.0000 0.0000 1
Si1 Si 0.2679 0.7679 0.5000 1
Si2 Si 0.4231 0.4231 0.0000 1
Si3 Si 0.7679 0.2679 0.5000 1
Os1 Os 0.6581 0.6581 0.0000 1
```